HgC4NCl3: computed powder X-ray diffraction pattern (Cu Kα, 1.54184 Å), based on a DFT-relaxed cell (PBE, the Materials Project).
Peak positions follow from Bragg's law for the DFT cell and can differ from measured ones.

Main lines, sorted by position (5 to 70 degrees two-theta):
(hkl)  2theta  I_rel
0 1 1  11.13  100
0 2 0  11.41  31
0 3 1  19.67  23
0 2 2  22.36  9
0 4 0  22.94  11
2 1 0  23.55  18
1 4 0  25.67  9
2 3 0  28.71  10
2 2 1  28.87  19
2 2 -2  29.48  8
2 1 2  33.18  8
2 1 -3  34.07  7

```
data_HgC4NCl3
_chemical_formula_sum 'Hg4 C16 N4 Cl12'
_cell_length_a 7.9227
_cell_length_b 15.5053
_cell_length_c 9.4219
_cell_angle_alpha 90.00
_cell_angle_beta 100.61
_cell_angle_gamma 90.00
_space_group_name_H-M_alt 'P 1 21 1'
_space_group_IT_number 4
_space_group_name_Hall 'P 2yb'
loop_
_atom_site_label
_atom_site_fract_x
_atom_site_fract_y
_atom_site_fract_z
_atom_site_occupancy
Hg1 0.0720 0.0000 0.2723 1
Hg2 0.3836 0.4436 0.6920 1
C1 0.0189 0.8919 0.4649 1
C2 0.0548 0.8404 0.7169 1
C3 0.0635 0.7926 0.8301 1
C4 0.0755 0.7494 0.9446 1
C5 0.4206 0.1643 0.0311 1
C6 0.4419 0.6868 0.4654 1
C7 0.4485 0.1686 0.9037 1
C8 0.4644 0.1699 0.7703 1
N1 0.0381 0.8665 0.5882 1
N2 0.4846 0.6789 0.3488 1
Cl1 0.0565 0.6855 0.0739 1
Cl2 0.0675 0.6089 0.6190 1
Cl3 0.2420 0.9282 0.1294 1
Cl4 0.2890 0.4480 0.9114 1
Cl5 0.4283 0.1731 0.2022 1
Cl6 0.4615 0.4322 0.4688 1
```